Structure and calculated powder diffraction line list of Rb2AcCe2O7 (DFT lattice parameters and positions (GGA-PBE); copper Kα).

The 8 most intense peaks (5 to 70 degrees two-theta), most intense first:
27.80 deg, rel. 100.0; 7.51 deg, rel. 58.8; 28.79 deg, rel. 51.2; 50.41 deg, rel. 39.9; 41.17 deg, rel. 27.9; 48.55 deg, rel. 27.0; 57.43 deg, rel. 15.8; 38.22 deg, rel. 13.0

Cell and atoms:
Unit cell a=12.1746 b=12.1746 c=12.1746 alpha=159.25 beta=159.25 gamma=29.51
Fractional coordinates of all 12 atoms:
Rb 0.1951 0.1951 0.0000
Rb 0.8049 0.8049 0.0000
Ac 0.0000 0.0000 0.0000
Ce 0.4043 0.4043 0.0000
Ce 0.5957 0.5957 0.0000
O 0.0735 0.5735 0.5000
O 0.3156 0.3156 0.0000
O 0.4265 0.9265 0.5000
O 0.5000 0.5000 0.0000
O 0.5735 0.0735 0.5000
O 0.6844 0.6844 0.0000
O 0.9265 0.4265 0.5000